No. 1
Theoretical powder X-ray diffraction pattern of Mg6Ni for Cu Kα, 1.54184 Å, from a cell relaxed with PBE.
Peak positions follow from Bragg's law for the DFT cell and can differ from measured ones.

Atomic structure:
a = 5.655 Å, b = 5.723 Å, c = 8.722 Å
α = 80.88°, β = 87.33°, γ = 84.43°
Sites, in units of the cell vectors:
Mg: 0.057 0.272 0.253
Mg: 0.158 0.805 0.126
Mg: 0.194 0.333 0.587
Mg: 0.298 0.838 0.472
Mg: 0.306 0.388 0.935
Mg: 0.416 0.917 0.807
Mg: 0.584 0.083 0.193
Mg: 0.694 0.612 0.065
Mg: 0.702 0.162 0.528
Mg: 0.806 0.667 0.413
Mg: 0.842 0.195 0.874
Mg: 0.943 0.728 0.747
Ni: 0.435 0.473 0.318
Ni: 0.565 0.527 0.682

Peak list (10 most intense, 15° ≤ 2θ ≤ 90°, sorted by position)
Position (°2θ), d_spacing, I_rel
15.75, 5.626, 598
36.98, 2.431, 1000
37.32, 2.410, 997
37.65, 2.389, 975
52.79, 1.734, 153
53.79, 1.704, 139
54.80, 1.675, 140
66.65, 1.403, 231
67.29, 1.391, 236
67.97, 1.379, 124

=====

No. 2
Theoretical powder X-ray diffraction pattern of Rb2MgNiP2 for Cu Kα, 1.54184 Å, from a cell relaxed with PBE.
Peak positions follow from Bragg's law for the DFT cell and can differ from measured ones.

Atomic structure:
a = 4.350 Å, b = 4.350 Å, c = 7.902 Å
α = 90.00°, β = 90.00°, γ = 90.00°
Sites, in units of the cell vectors:
Rb: 0.000 0.500 0.160
Rb: 0.500 0.000 0.840
Mg: 0.000 0.000 0.500
Ni: 0.500 0.500 0.500
P: 0.000 0.500 0.650
P: 0.500 0.000 0.350

Peak list (10 most intense, 15° ≤ 2θ ≤ 90°, sorted by position)
Position (°2θ), d_spacing, I_rel
23.34, 3.811, 429
29.03, 3.076, 249
30.57, 2.925, 1000
31.20, 2.866, 428
34.04, 2.634, 162
37.04, 2.427, 416
41.52, 2.175, 463
52.43, 1.745, 410
54.73, 1.677, 163
55.26, 1.662, 228

=====

No. 3
Theoretical powder X-ray diffraction pattern of Pr4Mg3Ni2 for Cu Kα, 1.54184 Å, from a cell relaxed with PBE.
Peak positions follow from Bragg's law for the DFT cell and can differ from measured ones.

Atomic structure:
a = 7.661 Å, b = 3.833 Å, c = 8.482 Å
α = 90.00°, β = 108.38°, γ = 90.00°
Sites, in units of the cell vectors:
Pr: 0.087 0.000 0.220
Pr: 0.394 0.000 0.681
Pr: 0.606 0.000 0.319
Pr: 0.913 0.000 0.780
Mg: 0.000 0.500 0.500
Mg: 0.295 0.500 0.002
Mg: 0.705 0.500 0.998
Ni: 0.345 0.500 0.392
Ni: 0.655 0.500 0.608

Peak list (10 most intense, 15° ≤ 2θ ≤ 90°, sorted by position)
Position (°2θ), d_spacing, I_rel
22.09, 4.025, 451
23.21, 3.833, 435
23.46, 3.792, 490
30.01, 2.977, 524
32.25, 2.775, 909
33.24, 2.695, 1000
36.20, 2.482, 306
37.10, 2.423, 365
38.26, 2.352, 590
39.65, 2.273, 334

=====

No. 4
Theoretical powder X-ray diffraction pattern of Mg4Ni5Sb4 for Cu Kα, 1.54184 Å, from a cell relaxed with PBE.
Peak positions follow from Bragg's law for the DFT cell and can differ from measured ones.

Atomic structure:
a = 14.222 Å, b = 14.222 Å, c = 14.222 Å
α = 17.47°, β = 17.47°, γ = 17.47°
Sites, in units of the cell vectors:
Mg: 0.000 0.000 0.000
Mg: 0.245 0.245 0.245
Mg: 0.497 0.497 0.497
Mg: 0.748 0.748 0.748
Ni: 0.184 0.184 0.184
Ni: 0.309 0.309 0.309
Ni: 0.435 0.435 0.435
Ni: 0.684 0.684 0.684
Ni: 0.936 0.936 0.936
Sb: 0.122 0.122 0.122
Sb: 0.373 0.373 0.373
Sb: 0.621 0.621 0.621
Sb: 0.872 0.872 0.872

Peak list (10 most intense, 15° ≤ 2θ ≤ 90°, sorted by position)
Position (°2θ), d_spacing, I_rel
25.27, 3.525, 846
25.45, 3.500, 282
29.31, 3.047, 212
41.82, 2.160, 1000
42.04, 2.149, 975
49.59, 1.838, 270
60.80, 1.524, 313
76.36, 1.247, 158
76.51, 1.245, 310
76.98, 1.239, 148